# 1
Computed PXRD pattern of Mo2Os for Cu Kα X-rays, from the GGA-PBE geometry in Alexandria.
No peak broadening, texture or thermal motion is included.

Peak list (8 most intense, 2θ = 10–90°, low angle first)
| 2θ (°) | intensity |
| --- | --- |
| 39.50 | 100 |
| 45.23 | 17 |
| 46.29 | 32 |
| 66.71 | 21 |
| 67.53 | 10 |
| 79.62 | 12 |
| 81.16 | 25 |
| 85.04 | 11 |

Cell and atoms:
```
Mo2Os
1.0
-1.9615 1.9615 12.0294
1.9615 -1.9615 12.0294
1.9615 1.9615 -12.0294
Mo Os
8 4
direct
0.0389 0.7889 0.2500 Mo
0.1234 0.3734 0.7500 Mo
0.2111 0.9611 0.2500 Mo
0.3734 0.1234 0.2500 Mo
0.6266 0.8766 0.7500 Mo
0.7889 0.0389 0.7500 Mo
0.8766 0.6266 0.2500 Mo
0.9611 0.2111 0.7500 Mo
0.2894 0.5394 0.7500 Os
0.4606 0.7106 0.7500 Os
0.5394 0.2894 0.2500 Os
0.7106 0.4606 0.2500 Os
```

***

# 2
Computed PXRD pattern of Mo2Os for Cu Kα X-rays, from the GGA-PBE geometry in Alexandria.
No peak broadening, texture or thermal motion is included.

Peak list (8 most intense, 2θ = 10–90°, low angle first)
| 2θ (°) | intensity |
| --- | --- |
| 20.12 | 31 |
| 36.25 | 30 |
| 38.31 | 72 |
| 39.46 | 28 |
| 42.00 | 55 |
| 42.58 | 100 |
| 43.64 | 58 |
| 69.53 | 34 |

Cell and atoms:
```
Mo2Os
1.0
9.6882 0.0000 0.0000
0.0000 9.6882 0.0000
0.0000 0.0000 4.9564
Mo Os
20 10
direct
0.0377 0.3697 0.0000 Mo
0.1052 0.1052 0.0000 Mo
0.1303 0.5377 0.5000 Mo
0.1795 0.8205 0.2488 Mo
0.1795 0.8205 0.7512 Mo
0.3205 0.3205 0.2512 Mo
0.3205 0.3205 0.7488 Mo
0.3697 0.0377 0.0000 Mo
0.3948 0.6052 0.5000 Mo
0.4623 0.8697 0.5000 Mo
0.5377 0.1303 0.5000 Mo
0.6052 0.3948 0.5000 Mo
0.6303 0.9623 0.0000 Mo
0.6795 0.6795 0.2512 Mo
0.6795 0.6795 0.7488 Mo
0.8205 0.1795 0.2488 Mo
0.8205 0.1795 0.7512 Mo
0.8697 0.4623 0.5000 Mo
0.8948 0.8948 0.0000 Mo
0.9623 0.6303 0.0000 Mo
0.0000 0.0000 0.5000 Os
0.0688 0.2632 0.5000 Os
0.2368 0.5688 0.0000 Os
0.2632 0.0688 0.5000 Os
0.4312 0.7632 0.0000 Os
0.5000 0.5000 0.0000 Os
0.5688 0.2368 0.0000 Os
0.7368 0.9312 0.5000 Os
0.7632 0.4312 0.0000 Os
0.9312 0.7368 0.5000 Os
```